Entry 1:
Calculated powder diffractogram
Compound: LiFePd3
Radiation: CuKα
Structure: a GGA-PBE-relaxed structure
Kinematic intensities with the Lorentz-polarization factor, no thermal factor.

Atomic structure:
abc: 4.059 17.109 4.056
angles: 90.00 90.00 90.00
Space group Cmcm (No. 63)
Unique sites:
Li  0.000  0.152  0.250 [4 per cell]
Fe  0.000  0.348  0.250 [4 per cell]
Pd  0.000  0.059  0.750 [4 per cell]
Pd  0.000  0.250  0.750 [4 per cell]
Pd  0.000  0.441  0.750 [4 per cell]

The 10 most intense peaks (2θ = 10–80°), low angle first:
(hkl), d_spacing, 2theta, I/Imax
0 6 0, 2.852, 31.4, 12
1 1 1, 2.829, 31.6, 26
1 5 1, 2.198, 41.1, 100
2 0 0, 2.029, 44.7, 41
0 10 0, 1.711, 53.6, 10
2 6 0, 1.653, 55.6, 10
2 0 2, 1.434, 65.0, 13
1 11 1, 1.367, 68.6, 8
2 10 0, 1.308, 72.2, 16
3 5 1, 1.201, 79.8, 27

Entry 2:
Calculated powder diffractogram
Compound: Ho4AlIr
Radiation: CuKα
Structure: a GGA-PBE-relaxed structure
Kinematic intensities with the Lorentz-polarization factor, no thermal factor.

Atomic structure:
abc: 8.777 13.226 5.933
angles: 90.00 113.09 90.00
Space group C2/c (No. 15)
Unique sites:
Ho  0.115  0.174  0.068 [8 per cell]
Ho  0.213  0.429  0.339 [8 per cell]
Al  0.000  0.373  0.750 [4 per cell]
Ir  0.000  0.000  0.250 [4 per cell]

The 10 most intense peaks (2θ = 10–80°), low angle first:
(hkl), d_spacing, 2theta, I/Imax
1 1 0, 6.891, 12.8, 100
0 2 0, 6.613, 13.4, 43
3 1 -1, 2.840, 31.5, 53
0 4 1, 2.828, 31.6, 42
2 4 -1, 2.575, 34.8, 38
2 2 1, 2.554, 35.1, 67
0 2 2, 2.523, 35.6, 32
1 5 0, 2.514, 35.7, 35
1 3 -2, 2.458, 36.6, 38
3 1 -2, 2.416, 37.2, 30

Entry 3:
Calculated powder diffractogram
Compound: Pa3Si3Os2
Radiation: CuKα
Structure: a GGA-PBE-relaxed structure
Kinematic intensities with the Lorentz-polarization factor, no thermal factor.

Atomic structure:
abc: 7.465 14.273 5.853
angles: 90.00 90.00 90.00
Space group Pnma (No. 62)
Unique sites:
Pa  0.006  0.109  0.118 [8 per cell]
Pa  0.148  0.250  0.617 [4 per cell]
Si  0.152  0.046  0.576 [8 per cell]
Si  0.207  0.750  0.614 [4 per cell]
Os  0.161  0.603  0.380 [8 per cell]

The 10 most intense peaks (2θ = 10–80°), low angle first:
(hkl), d_spacing, 2theta, I/Imax
1 3 1, 3.309, 26.9, 61
2 1 1, 3.073, 29.1, 41
2 3 0, 2.937, 30.4, 44
1 1 2, 2.676, 33.5, 100
2 3 1, 2.625, 34.2, 41
0 6 0, 2.379, 37.8, 40
1 3 2, 2.363, 38.1, 92
3 0 1, 2.290, 39.3, 76
1 4 2, 2.165, 41.7, 43
1 7 2, 1.632, 56.4, 45

Entry 4:
Calculated powder diffractogram
Compound: SrPr3Zn4
Radiation: CuKα
Structure: a GGA-PBE-relaxed structure
Kinematic intensities with the Lorentz-polarization factor, no thermal factor.

Atomic structure:
abc: 10.594 7.542 5.297
angles: 90.00 90.00 90.00
Space group Pmma (No. 51)
Unique sites:
Sr  0.000  0.000  0.000 [2 per cell]
Pr  0.000  0.500  0.000 [2 per cell]
Pr  0.250  0.000  0.500 [2 per cell]
Pr  0.250  0.500  0.499 [2 per cell]
Zn  0.000  0.260  0.500 [4 per cell]
Zn  0.250  0.260  0.999 [4 per cell]

The 10 most intense peaks (2θ = 10–80°), low angle first:
(hkl), d_spacing, 2theta, I/Imax
0 2 0, 3.771, 23.6, 5
2 0 1, 3.745, 23.8, 10
2 2 1, 2.657, 33.7, 100
4 0 0, 2.648, 33.8, 50
0 4 0, 1.885, 48.3, 9
4 0 2, 1.873, 48.6, 18
4 4 0, 1.536, 60.3, 18
6 2 1, 1.531, 60.5, 36
4 4 2, 1.329, 70.9, 11
8 0 0, 1.324, 71.2, 5